# 1
Diffraction record for HoGaO3. The powder X-ray diffraction pattern is calculated, not measured: it uses a cell relaxed with GGA-PBE and Cu Kα, 1.54184 Å.
Peak positions follow from Bragg's law for the DFT cell and can differ from measured ones.

Structural model:
```
HoGaO3
1.0
6.094 0.000 0.000
-3.047 5.277 0.000
0.000 0.000 11.714
Ho Ga O
6 6 18
Cartesian
0.000 0.000 0.000 Ho
0.000 0.000 5.857 Ho
0.000 3.518 5.366 Ho
0.000 3.518 11.224 Ho
3.047 1.759 5.366 Ho
3.047 1.759 11.224 Ho
-1.018 1.763 2.640 Ga
-2.029 3.514 8.497 Ga
2.036 0.000 2.640 Ga
1.018 1.763 8.497 Ga
4.058 0.000 8.497 Ga
2.029 3.514 2.640 Ga
0.000 0.000 2.376 O
0.000 0.000 8.234 O
-0.935 1.619 4.553 O
-1.094 1.895 0.743 O
-1.953 3.382 6.600 O
-2.112 3.658 10.410 O
1.870 0.000 4.553 O
0.935 1.619 10.410 O
0.000 3.518 2.875 O
0.000 3.518 8.732 O
2.189 0.000 0.743 O
1.094 1.895 6.600 O
3.905 0.000 6.600 O
1.953 3.382 0.743 O
3.047 1.759 2.875 O
3.047 1.759 8.732 O
4.224 0.000 10.410 O
2.112 3.658 4.553 O
```

Principal peaks in the range 2θ = 10–90°, sorted by position:
h k l	2θ (°)	d/Å	I/Imax
0 0 2	15.13	5.857	25.8
1 1 0	29.31	3.047	37.7
1 1 1	30.31	2.949	27.3
0 0 4	30.53	2.929	31.7
1 1 2	33.14	2.703	100.0
1 1 4	42.83	2.111	28.2
3 0 0	51.98	1.759	36.8
3 0 4	61.49	1.508	26.3

# 2
Diffraction record for HoAgSe2. The powder X-ray diffraction pattern is calculated, not measured: it uses a cell relaxed with GGA-PBE and Cu Kα, 1.54184 Å.
Peak positions follow from Bragg's law for the DFT cell and can differ from measured ones.

Structural model:
```
HoAgSe2
1.0
4.265 0.000 0.000
0.000 6.824 0.000
0.000 0.000 13.784
Ho Ag Se
4 4 8
Cartesian
0.940 1.409 1.756 Ho
1.192 5.415 8.647 Ho
3.073 2.003 12.028 Ho
3.324 4.820 5.136 Ho
0.031 4.823 1.753 Ag
2.101 2.001 8.644 Ag
2.164 5.412 12.031 Ag
4.233 1.411 5.139 Ag
0.950 0.603 10.673 Se
0.974 3.341 13.416 Se
1.159 3.483 6.524 Se
1.182 6.221 3.781 Se
3.082 2.809 3.110 Se
3.106 0.071 0.368 Se
3.291 6.752 7.260 Se
3.314 4.015 10.002 Se
```

Principal peaks in the range 2θ = 10–90°, sorted by position:
h k l	2θ (°)	d/Å	I/Imax
1 0 2	24.55	3.626	36.2
1 1 2	27.86	3.202	100.0
1 1 3	31.48	2.842	50.1
0 2 3	32.69	2.739	34.2
1 2 2	36.15	2.485	60.0
0 2 4	37.08	2.424	93.8
1 0 6	44.81	2.022	44.5
2 1 1	45.03	2.013	36.0